Entry 1:
Calculated powder X-ray diffraction pattern of Ca2Fe3O8 for Cu Kα (λ = 1.5418 Å), from a crystal structure in the Materials Project, relaxed with PBE+U.
Peak positions follow from Bragg's law for the DFT cell and can differ from measured ones.

Peak list (8 most intense, 2θ from 10° to 90°, by angle)
5.249 Å, rel. 100; 3.282 Å, rel. 53; 2.975 Å, rel. 44; 2.631 Å, rel. 28; 2.486 Å, rel. 43; 2.022 Å, rel. 52; 1.691 Å, rel. 34; 1.478 Å, rel. 25

Atomic structure:
Lattice parameters (Å, degrees): 6.335 6.335 5.075 106.84 106.84 57.36
Element x y z (fractional)
Ca 0.222 0.222 0.160
Ca 0.778 0.778 0.840
Fe 0.239 0.761 0.500
Fe 0.500 0.500 0.000
Fe 0.761 0.239 0.500
O 0.113 0.113 0.480
O 0.181 0.613 0.097
O 0.387 0.819 0.903
O 0.402 0.402 0.597
O 0.598 0.598 0.403
O 0.613 0.181 0.097
O 0.819 0.387 0.903
O 0.887 0.887 0.520

***

Entry 2:
Calculated powder X-ray diffraction pattern of CaFe2O4 for Cu Kα (λ = 1.5418 Å), from a crystal structure in the Materials Project, relaxed with PBE+U.
Peak positions follow from Bragg's law for the DFT cell and can differ from measured ones.

Peak list (8 most intense, 2θ from 10° to 90°, by angle)
5.139 Å, rel. 32; 3.146 Å, rel. 24; 2.683 Å, rel. 100; 2.224 Å, rel. 32; 1.714 Å, rel. 11; 1.712 Å, rel. 30; 1.575 Å, rel. 24; 1.571 Å, rel. 25

Atomic structure:
Lattice parameters (Å, degrees): 6.283 6.283 15.451 90.00 90.00 120.00
Element x y z (fractional)
Ca 0.000 0.000 0.000
Ca 0.000 0.000 0.243
Ca 0.333 0.667 0.336
Ca 0.333 0.667 0.584
Ca 0.333 0.667 0.959
Ca 0.667 0.333 0.668
Fe 0.000 0.000 0.618
Fe 0.006 0.503 0.126
Fe 0.161 0.323 0.787
Fe 0.161 0.839 0.787
Fe 0.335 0.167 0.456
Fe 0.497 0.503 0.126
Fe 0.497 0.994 0.126
Fe 0.667 0.333 0.290
Fe 0.667 0.333 0.909
Fe 0.677 0.839 0.787
Fe 0.833 0.167 0.456
Fe 0.833 0.665 0.456
O 0.000 0.000 0.389
O 0.000 0.000 0.854
O 0.001 0.500 0.860
O 0.144 0.288 0.534
O 0.144 0.856 0.534
O 0.182 0.363 0.059
O 0.182 0.818 0.059
O 0.282 0.141 0.710
O 0.333 0.667 0.195
O 0.333 0.667 0.729
O 0.388 0.194 0.202
O 0.500 0.500 0.860
O 0.500 0.999 0.860
O 0.524 0.048 0.381
O 0.524 0.476 0.381
O 0.637 0.818 0.059
O 0.667 0.333 0.036
O 0.667 0.333 0.525
O 0.712 0.856 0.534
O 0.806 0.194 0.202
O 0.806 0.612 0.202
O 0.859 0.141 0.710
O 0.859 0.718 0.710
O 0.952 0.476 0.381

***

Entry 3:
Calculated powder X-ray diffraction pattern of CaFe2O4 for Cu Kα (λ = 1.5418 Å), from a crystal structure in the Materials Project, relaxed with PBE+U.
Peak positions follow from Bragg's law for the DFT cell and can differ from measured ones.

Peak list (8 most intense, 2θ from 10° to 90°, by angle)
5.176 Å, rel. 48; 2.695 Å, rel. 49; 2.687 Å, rel. 85; 2.676 Å, rel. 100; 2.670 Å, rel. 62; 2.218 Å, rel. 61; 1.583 Å, rel. 48; 1.569 Å, rel. 53

Atomic structure:
Lattice parameters (Å, degrees): 6.276 6.276 15.530 90.54 90.54 59.84
Element x y z (fractional)
Ca 0.000 0.000 0.000
Ca 0.000 0.000 0.375
Ca 0.331 0.331 0.097
Ca 0.334 0.334 0.716
Ca 0.667 0.667 0.424
Ca 0.996 0.996 0.759
Fe 0.161 0.161 0.544
Fe 0.162 0.677 0.544
Fe 0.333 0.333 0.331
Fe 0.340 0.829 0.207
Fe 0.488 0.488 0.890
Fe 0.501 0.995 0.879
Fe 0.667 0.667 0.041
Fe 0.669 0.669 0.662
Fe 0.677 0.162 0.544
Fe 0.827 0.827 0.208
Fe 0.829 0.340 0.207
Fe 0.995 0.501 0.879
O 0.001 0.001 0.615
O 0.009 0.498 0.617
O 0.167 0.663 0.281
O 0.168 0.168 0.281
O 0.179 0.179 0.817
O 0.183 0.636 0.821
O 0.297 0.851 0.477
O 0.329 0.329 0.956
O 0.333 0.333 0.462
O 0.387 0.805 0.957
O 0.497 0.497 0.619
O 0.498 0.009 0.617
O 0.525 0.525 0.132
O 0.526 0.944 0.133
O 0.636 0.183 0.821
O 0.663 0.167 0.281
O 0.667 0.667 0.278
O 0.679 0.679 0.789
O 0.805 0.387 0.957
O 0.806 0.806 0.958
O 0.851 0.297 0.477
O 0.853 0.853 0.476
O 0.944 0.526 0.133
O 0.998 0.998 0.149

***

> What is the formula in the third record?

CaFe2O4